(1)
Structure and theoretical X-ray diffraction stick pattern of V5Ru2W (a DFT-relaxed cell (GGA-PBE, Alexandria); Cu Kα (λ = 1.5418 Å)).
Peak positions follow from Bragg's law for the DFT cell and can differ from measured ones.

Most intense lines, 10 to 90 degrees two-theta, most intense first:
2theta	d [Å]	I (rel.)	hkl
42.22	2.141	100	1 1 4
42.40	2.132	49	2 0 0
77.44	1.232	31	3 1 4
22.09	4.023	22	1 0 1
29.63	3.015	18	1 1 0
77.06	1.238	16	2 0 8
61.52	1.507	16	2 2 0
30.43	2.937	11	1 0 3
29.38	3.040	9	0 0 4
60.96	1.520	8	0 0 8

Cell and atoms:
```
data_V5Ru2W
_chemical_formula_sum 'V10 Ru4 W2'
_cell_length_a 4.264
_cell_length_b 4.264
_cell_length_c 12.159
_cell_angle_alpha 90.00
_cell_angle_beta 90.00
_cell_angle_gamma 90.00
_symmetry_space_group_name_H-M 'I 4/m m m'
_symmetry_Int_Tables_number 139
_symmetry_space_group_name_Hall '-I 4 2'
loop_
_atom_site_label
_atom_site_type_symbol
_atom_site_fract_x
_atom_site_fract_y
_atom_site_fract_z
V1 V 0.000 0.000 0.000
V2 V 0.000 0.500 0.124
Ru1 Ru 0.000 0.000 0.249
W1 W 0.000 0.000 0.500
```



(2)
Structure and theoretical X-ray diffraction stick pattern of V2Zn2Ru3 (a DFT-relaxed cell (GGA-PBE, Alexandria); Cu Kα (λ = 1.5418 Å)).
Peak positions follow from Bragg's law for the DFT cell and can differ from measured ones.

Most intense lines, 10 to 90 degrees two-theta, most intense first:
2theta	d [Å]	I (rel.)	hkl
41.58	2.172	100	1 0 2
42.76	2.115	99	1 1 -1
41.74	2.164	50	0 1 -3
42.95	2.106	49	2 -1 0
77.71	1.229	22	1 -3 4
78.58	1.217	15	3 0 -1
60.89	1.521	15	0 2 1
61.51	1.508	15	2 -2 3
61.37	1.511	15	2 0 -3
77.38	1.233	15	2 1 1

Cell and atoms:
```
data_V2Zn2Ru3
_chemical_formula_sum 'V2 Zn2 Ru3'
_cell_length_a 4.211
_cell_length_b 4.228
_cell_length_c 6.729
_cell_angle_alpha 107.96
_cell_angle_beta 90.12
_cell_angle_gamma 119.82
_symmetry_space_group_name_H-M 'P -1'
_symmetry_Int_Tables_number 2
_symmetry_space_group_name_Hall '-P 1'
loop_
_atom_site_label
_atom_site_type_symbol
_atom_site_fract_x
_atom_site_fract_y
_atom_site_fract_z
V1 V 0.215 0.429 0.147
Zn1 Zn 0.358 0.717 0.573
Ru1 Ru 0.082 0.166 0.744
Ru2 Ru 0.500 0.000 0.000
```